This entry pairs a crystal structure of DyEr2Sc3P2Os with its calculated powder XRD pattern. Radiation: Cu Ka. Structure: a cell relaxed with GGA-PBE.
Lines closer than 0.1° are merged.

Atomic structure:
```
data_DyEr2Sc3P2Os
_cell_length_a 4.054
_cell_length_b 12.801
_cell_length_c 7.371
_cell_angle_alpha 90.00
_cell_angle_beta 90.00
_cell_angle_gamma 90.00
_symmetry_space_group_name_H-M 'A m m 2'
_symmetry_Int_Tables_number 38
loop_
_symmetry_equiv_pos_as_xyz
'x,y,z'
'-x,-y,z'
'-x,y,z'
'x,-y,z'
'x,y+1/2,z+1/2'
'-x,-y+1/2,z+1/2'
'-x,y+1/2,z+1/2'
'x,-y+1/2,z+1/2'
loop_
_atom_site_label
_atom_site_fract_x
_atom_site_fract_y
_atom_site_fract_z
Dy1 0.000 0.000 0.000
Er1 0.000 0.206 0.618
Sc1 0.500 0.000 0.659
Sc2 0.500 0.120 0.292
P1 0.500 0.168 0.912
Os1 0.000 0.000 0.419
```

Top 6 peaks for 15° ≤ 2θ ≤ 90°, in order of rising 2θ:
d_spacing, I (rel.)
4.054, 39.0
3.690, 22.1
3.196, 51.5
2.729, 63.3
2.510, 100.0
2.416, 28.3



This entry pairs a crystal structure of Dy3Er3SbTeOs with its calculated powder XRD pattern. Radiation: Cu Ka. Structure: a cell relaxed with GGA-PBE.
Lines closer than 0.1° are merged.

Atomic structure:
```
data_Dy3Er3SbTeOs
_cell_length_a 8.2078
_cell_length_b 8.2078
_cell_length_c 4.1298
_cell_angle_alpha 90.00
_cell_angle_beta 90.00
_cell_angle_gamma 120.00
_symmetry_space_group_name_H-M 'P -6'
_symmetry_Int_Tables_number 174
loop_
_symmetry_equiv_pos_as_xyz
'x,y,z'
'-x+y,-x,-z'
'-y,x-y,z'
'x,y,-z'
'-x+y,-x,z'
'-y,x-y,-z'
loop_
_atom_site_label
_atom_site_fract_x
_atom_site_fract_y
_atom_site_fract_z
Dy1 0.0042 0.6117 0.0000
Er1 0.0007 0.2372 0.5000
Sb1 0.3333 0.6667 0.5000
Te1 0.6667 0.3333 0.5000
Os1 0.0000 0.0000 0.0000
```

Top 6 peaks for 15° ≤ 2θ ≤ 90°, in order of rising 2θ:
d_spacing, I (rel.)
2.911, 71.0
2.691, 100.0
2.369, 30.0
2.252, 39.0
2.065, 19.4
1.517, 24.7



This entry pairs a crystal structure of DyEr3Sc2Te2Os with its calculated powder XRD pattern. Radiation: Cu Ka. Structure: a cell relaxed with GGA-PBE.
Lines closer than 0.1° are merged.

Atomic structure:
```
data_DyEr3Sc2Te2Os
_cell_length_a 3.998
_cell_length_b 13.989
_cell_length_c 7.990
_cell_angle_alpha 90.00
_cell_angle_beta 90.00
_cell_angle_gamma 90.00
_symmetry_space_group_name_H-M 'A m m 2'
_symmetry_Int_Tables_number 38
loop_
_symmetry_equiv_pos_as_xyz
'x,y,z'
'-x,-y,z'
'-x,y,z'
'x,-y,z'
'x,y+1/2,z+1/2'
'-x,-y+1/2,z+1/2'
'-x,y+1/2,z+1/2'
'x,-y+1/2,z+1/2'
loop_
_atom_site_label
_atom_site_fract_x
_atom_site_fract_y
_atom_site_fract_z
Dy1 0.000 0.000 0.000
Er1 0.500 0.000 0.619
Er2 0.500 0.196 0.041
Sc1 0.000 0.118 0.352
Te1 0.000 0.170 0.733
Os1 0.500 0.000 0.258
```

Top 6 peaks for 15° ≤ 2θ ≤ 90°, in order of rising 2θ:
d_spacing, I (rel.)
2.838, 90.0
2.632, 25.6
2.620, 100.0
2.332, 23.8
2.313, 34.8
2.000, 33.0



This entry pairs a crystal structure of Dy2ErSc3Te2Os with its calculated powder XRD pattern. Radiation: Cu Ka. Structure: a cell relaxed with GGA-PBE.
Lines closer than 0.1° are merged.

Atomic structure:
```
data_Dy2ErSc3Te2Os
_cell_length_a 4.018
_cell_length_b 13.735
_cell_length_c 7.900
_cell_angle_alpha 90.00
_cell_angle_beta 90.00
_cell_angle_gamma 90.00
_symmetry_space_group_name_H-M 'A m m 2'
_symmetry_Int_Tables_number 38
loop_
_symmetry_equiv_pos_as_xyz
'x,y,z'
'-x,-y,z'
'-x,y,z'
'x,-y,z'
'x,y+1/2,z+1/2'
'-x,-y+1/2,z+1/2'
'-x,y+1/2,z+1/2'
'x,-y+1/2,z+1/2'
loop_
_atom_site_label
_atom_site_fract_x
_atom_site_fract_y
_atom_site_fract_z
Dy1 0.000 0.194 0.000
Er1 0.000 0.000 0.419
Sc1 0.500 0.000 0.037
Sc2 0.500 0.116 0.690
Te1 0.500 0.166 0.306
Os1 0.000 0.000 0.802
```

Top 6 peaks for 15° ≤ 2θ ≤ 90°, in order of rising 2θ:
d_spacing, I (rel.)
3.958, 52.0
2.819, 100.0
2.607, 98.8
2.283, 42.3
2.177, 48.2
1.509, 34.5